[1]
The following is a computed XRD peak list of BeCrBr2. It was derived from a crystal structure in Alexandria, relaxed with GGA-PBE, using Cu Kα.

Crystal structure
Unit cell a=6.027 b=3.481 c=8.398 alpha=90.00 beta=90.08 gamma=90.00
Sites, in units of the cell vectors:
Be1 0.000 0.000 0.000
Be2 0.500 0.500 0.000
Cr1 0.333 0.000 0.213
Cr2 0.833 0.500 0.213
Br1 0.167 0.500 0.412
Br2 0.333 0.000 0.848
Br3 0.667 0.000 0.412
Br4 0.833 0.500 0.848

Top 8 peaks for 15° ≤ 2θ ≤ 90°, most intense first:
2.837 Å, intensity 100
2.051 Å, intensity 75
2.448 Å, intensity 61
4.199 Å, intensity 51
3.014 Å, intensity 49
1.740 Å, intensity 36
1.607 Å, intensity 20
1.327 Å, intensity 17

=====

[2]
The following is a computed XRD peak list of Tb2Dy4Y7. It was derived from a crystal structure in Alexandria, relaxed with GGA-PBE, using Cu Kα.

Crystal structure
Unit cell a=6.165 b=7.937 c=9.429 alpha=65.15 beta=89.75 gamma=82.51
Sites, in units of the cell vectors:
Tb1 0.154 0.076 0.115
Tb2 0.846 0.924 0.885
Dy1 0.307 0.153 0.730
Dy2 0.460 0.229 0.347
Dy3 0.540 0.771 0.653
Dy4 0.693 0.847 0.270
Y1 0.000 0.000 0.500
Y2 0.077 0.538 0.808
Y3 0.232 0.615 0.423
Y4 0.386 0.693 0.038
Y5 0.614 0.307 0.962
Y6 0.768 0.385 0.577
Y7 0.923 0.462 0.192

Top 8 peaks for 15° ≤ 2θ ≤ 90°, most intense first:
2.906 Å, intensity 100
2.512 Å, intensity 33
1.516 Å, intensity 24
1.781 Å, intensity 24
2.527 Å, intensity 17
1.522 Å, intensity 14
1.156 Å, intensity 9
1.125 Å, intensity 8

=====

[3]
The following is a computed XRD peak list of AcTl2GaS4. It was derived from a crystal structure in Alexandria, relaxed with GGA-PBE, using Cu Kα.

Crystal structure
Unit cell a=8.474 b=8.474 c=8.181 alpha=117.95 beta=117.95 gamma=89.66
Sites, in units of the cell vectors:
Ac1 0.000 0.500 0.000
Ac2 0.500 0.000 0.500
Tl1 0.000 0.000 0.000
Tl2 0.000 0.000 0.500
Tl3 0.000 0.500 0.500
Tl4 0.500 0.000 0.000
Ga1 0.500 0.500 0.000
Ga2 0.500 0.500 0.500
S1 0.265 0.726 0.478
S2 0.274 0.735 0.022
S3 0.306 0.311 0.003
S4 0.311 0.306 0.503
S5 0.689 0.694 0.497
S6 0.694 0.689 0.997
S7 0.726 0.265 0.978
S8 0.735 0.274 0.522

Top 8 peaks for 15° ≤ 2θ ≤ 90°, most intense first:
2.989 Å, intensity 100
3.600 Å, intensity 85
3.374 Å, intensity 71
3.070 Å, intensity 58
2.141 Å, intensity 41
2.113 Å, intensity 37
2.255 Å, intensity 21
1.800 Å, intensity 21